Record 1
Diffraction record for RbBeAg. The XRD peak list is theoretical, not measured: it uses a DFT-relaxed cell (GGA-PBE, Alexandria) and Cu Ka.
Lines closer than 0.1° are merged.

Crystal structure
```
data_RbBeAg
_cell_length_a 4.1861
_cell_length_b 5.5779
_cell_length_c 6.9063
_cell_angle_alpha 113.34
_cell_angle_beta 90.19
_cell_angle_gamma 90.00
_space_group_name_H-M_alt 'P 1'
_space_group_IT_number 1
loop_
_space_group_symop_operation_xyz
'x,y,z'
loop_
_atom_site_label
_atom_site_fract_x
_atom_site_fract_y
_atom_site_fract_z
Rb1 0.0000 0.0000 0.0000
Rb2 0.5000 0.4934 0.9992
Be1 0.9983 0.3882 0.5125
Be2 0.9986 0.8722 0.4868
Ag1 0.4983 0.6373 0.5196
Ag2 0.4990 0.1176 0.4797
```

The 8 most intense peaks (2θ from 10° to 80°), low angle first:
- 2θ 21.22, d = 4.186 Å, rel. 54, hkl 1 0 0
- 2θ 25.50, d = 3.493 Å, rel. 69, hkl 1 0 1
- 2θ 27.54, d = 3.239 Å, rel. 51, hkl 1 1 0
- 2θ 28.15, d = 3.170 Å, rel. 100, hkl 0 0 2
- 2θ 32.09, d = 2.789 Å, rel. 35, hkl 0 2 -1
- 2θ 34.08, d = 2.631 Å, rel. 31, hkl -1 1 1
- 2θ 38.80, d = 2.321 Å, rel. 31, hkl 1 2 -1
- 2θ 43.23, d = 2.093 Å, rel. 31, hkl 2 0 0

Record 2
Diffraction record for Rb4AgF5. The XRD peak list is theoretical, not measured: it uses a DFT-relaxed cell (GGA-PBE, Alexandria) and Cu Ka.
Lines closer than 0.1° are merged.

Crystal structure
```
data_Rb4AgF5
_cell_length_a 8.7709
_cell_length_b 8.7709
_cell_length_c 5.7015
_cell_angle_alpha 90.00
_cell_angle_beta 90.00
_cell_angle_gamma 90.00
_space_group_name_H-M_alt 'I 4'
_space_group_IT_number 79
loop_
_space_group_symop_operation_xyz
'x,y,z'
'-y,x,z'
'-x,-y,z'
'y,-x,z'
'x+1/2,y+1/2,z+1/2'
'-y+1/2,x+1/2,z+1/2'
'-x+1/2,-y+1/2,z+1/2'
'y+1/2,-x+1/2,z+1/2'
loop_
_atom_site_label
_atom_site_fract_x
_atom_site_fract_y
_atom_site_fract_z
Rb1 0.0995 0.2951 0.0000
Ag1 0.0000 0.0000 0.4761
F1 0.0000 0.0000 0.0390
F2 0.0894 0.2778 0.5026
```

The 8 most intense peaks (2θ from 10° to 80°), low angle first:
- 2θ 27.60, d = 3.232 Å, rel. 100, hkl 2 1 1
- 2θ 31.38, d = 2.851 Å, rel. 42, hkl 0 0 2
- 2θ 32.28, d = 2.774 Å, rel. 79, hkl 1 3 0
- 2θ 45.64, d = 1.988 Å, rel. 55, hkl 1 3 2
- 2θ 46.29, d = 1.961 Å, rel. 27, hkl 4 2 0
- 2θ 53.58, d = 1.710 Å, rel. 17, hkl 2 1 3
- 2θ 54.75, d = 1.677 Å, rel. 32, hkl 5 0 1
- 2θ 56.99, d = 1.616 Å, rel. 27, hkl 4 2 2

Record 3
Diffraction record for BC5. The XRD peak list is theoretical, not measured: it uses a DFT-relaxed cell (GGA-PBE, Alexandria) and Cu Ka.
Lines closer than 0.1° are merged.

Crystal structure
```
data_BC5
_cell_length_a 13.2943
_cell_length_b 2.5894
_cell_length_c 4.5037
_cell_angle_alpha 90.00
_cell_angle_beta 109.04
_cell_angle_gamma 90.00
_space_group_name_H-M_alt 'C 1 2/m 1'
_space_group_IT_number 12
loop_
_space_group_symop_operation_xyz
'x,y,z'
'-x,-y,-z'
'-x,y,-z'
'x,-y,z'
'x+1/2,y+1/2,z'
'-x+1/2,-y+1/2,-z'
'-x+1/2,y+1/2,-z'
'x+1/2,-y+1/2,z'
loop_
_atom_site_label
_atom_site_fract_x
_atom_site_fract_y
_atom_site_fract_z
B1 0.0833 0.0000 0.0898
C1 0.0630 0.5000 0.5652
C2 0.1024 0.0000 0.7644
C3 0.1035 0.5000 0.2843
C4 0.2296 0.0000 0.8959
C5 0.2300 0.5000 0.3984
```

The 8 most intense peaks (2θ from 10° to 80°), low angle first:
- 2θ 14.09, d = 6.283 Å, rel. 8, hkl 2 0 0
- 2θ 42.68, d = 2.118 Å, rel. 100, hkl 1 1 1
- 2θ 42.84, d = 2.111 Å, rel. 50, hkl 4 0 -2
- 2θ 43.19, d = 2.094 Å, rel. 62, hkl 6 0 0
- 2θ 72.83, d = 1.299 Å, rel. 29, hkl 3 1 -3
- 2θ 73.09, d = 1.295 Å, rel. 14, hkl 0 2 0
- 2θ 73.33, d = 1.291 Å, rel. 24, hkl 7 1 1
- 2θ 74.04, d = 1.280 Å, rel. 12, hkl 10 0 -2